Entry 1:
Dy4Ge8Ru: calculated X-ray diffraction stick pattern (Cu Kα, 1.54184 Å), based on a cell relaxed with GGA-PBE.

Cell and atoms:
```
data_Dy4Ge8Ru
_chemical_formula_sum 'Dy4 Ge8 Ru1'
_space_group_name_H-M_alt 'P m m 2'
_space_group_IT_number 25
_cell_length_a 4.014
_cell_length_b 4.160
_cell_length_c 16.173
_cell_angle_alpha 90.00
_cell_angle_beta 90.00
_cell_angle_gamma 90.00
loop_
_space_group_symop_operation_xyz
'x,y,z'
'-x,-y,z'
'-x,y,z'
'x,-y,z'
loop_
_atom_site_label
_atom_site_fract_x
_atom_site_fract_y
_atom_site_fract_z
Dy1 0.000 0.000 0.000
Dy2 0.000 0.500 0.487
Dy3 0.500 0.000 0.790
Dy4 0.500 0.500 0.285
Ge1 0.000 0.000 0.332
Ge2 0.000 0.000 0.622
Ge3 0.000 0.500 0.140
Ge4 0.000 0.500 0.855
Ge5 0.500 0.000 0.145
Ge6 0.500 0.000 0.438
Ge7 0.500 0.500 0.620
Ge8 0.500 0.500 0.957
Ru1 0.000 0.500 0.705
```

Top 12 peaks for 2θ from 10° to 90°, by angle:
| index | 2θ/deg | d [Å] | I/Imax |
| --- | --- | --- | --- |
| 1 0 2 | 24.8 | 3.595 | 14 |
| 1 1 1 | 31.5 | 2.844 | 10 |
| 0 0 6 | 33.2 | 2.695 | 14 |
| 0 1 5 | 35.1 | 2.554 | 21 |
| 1 1 3 | 35.2 | 2.546 | 100 |
| 1 0 6 | 40.3 | 2.238 | 16 |
| 0 2 0 | 43.5 | 2.080 | 21 |
| 2 0 0 | 45.2 | 2.007 | 19 |
| 2 1 5 | 58.5 | 1.578 | 10 |
| 2 2 0 | 64.5 | 1.444 | 13 |
| 1 3 3 | 74.5 | 1.274 | 20 |
| 3 1 3 | 76.9 | 1.240 | 10 |

Entry 2:
CeEr8Tm3: calculated X-ray diffraction stick pattern (Cu Kα, 1.54184 Å), based on a cell relaxed with GGA-PBE.

Cell and atoms:
```
data_CeEr8Tm3
_chemical_formula_sum 'Ce2 Er16 Tm6'
_space_group_name_H-M_alt 'I 4/m m m'
_space_group_IT_number 139
_space_group_name_Hall '-I 4 2'
_cell_length_a 7.569
_cell_length_b 7.569
_cell_length_c 15.160
_cell_angle_alpha 90.00
_cell_angle_beta 90.00
_cell_angle_gamma 90.00
loop_
_atom_site_label
_atom_site_fract_x
_atom_site_fract_y
_atom_site_fract_z
Ce1 0.000 0.000 0.000
Er1 0.248 0.248 0.124
Tm1 0.000 0.000 0.500
Tm2 0.000 0.500 0.250
```

Top 12 peaks for 2θ from 10° to 90°, by angle:
| index | 2θ/deg | d [Å] | I/Imax |
| --- | --- | --- | --- |
| 1 1 2 | 20.3 | 4.372 | 25 |
| 2 0 0 | 23.5 | 3.786 | 15 |
| 2 2 0 | 33.5 | 2.677 | 100 |
| 3 1 2 | 39.5 | 2.283 | 14 |
| 2 2 4 | 41.3 | 2.186 | 4 |
| 4 0 0 | 48.1 | 1.893 | 18 |
| 3 3 2 | 52.7 | 1.737 | 6 |
| 4 2 0 | 54.2 | 1.693 | 6 |
| 4 2 4 | 59.8 | 1.546 | 38 |
| 4 4 0 | 70.3 | 1.339 | 12 |
| 2 0 12 | 80.1 | 1.198 | 6 |
| 6 2 0 | 80.2 | 1.197 | 11 |

Entry 3:
NaMnPbCl6: calculated X-ray diffraction stick pattern (Cu Kα, 1.54184 Å), based on a cell relaxed with GGA-PBE.

Cell and atoms:
```
data_NaMnPbCl6
_chemical_formula_sum 'Na1 Mn1 Pb1 Cl6'
_space_group_name_H-M_alt 'P 3 1 2'
_space_group_IT_number 149
_cell_length_a 6.7320
_cell_length_b 6.7320
_cell_length_c 6.1047
_cell_angle_alpha 90.00
_cell_angle_beta 90.00
_cell_angle_gamma 120.00
loop_
_space_group_symop_operation_xyz
'x,y,z'
'-y,x-y,z'
'-x+y,-x,z'
'-y,-x,-z'
'-x+y,y,-z'
'x,x-y,-z'
loop_
_atom_site_label
_atom_site_fract_x
_atom_site_fract_y
_atom_site_fract_z
Na1 0.0000 0.0000 0.0000
Mn1 0.3333 0.6667 0.0000
Pb1 0.6667 0.3333 0.5000
Cl1 0.0424 0.3744 0.2283
```

Top 12 peaks for 2θ from 10° to 90°, by angle:
| index | 2θ/deg | d [Å] | I/Imax |
| --- | --- | --- | --- |
| 1 0 0 | 15.2 | 5.830 | 39 |
| 1 0 1 | 21.1 | 4.216 | 100 |
| 1 1 0 | 26.5 | 3.366 | 15 |
| 1 1 1 | 30.3 | 2.948 | 33 |
| 2 0 0 | 30.7 | 2.915 | 12 |
| 1 0 2 | 33.1 | 2.704 | 17 |
| 2 0 1 | 34.1 | 2.631 | 29 |
| 2 -1 2 | 39.9 | 2.261 | 46 |
| 3 -1 1 | 43.7 | 2.073 | 32 |
| 3 0 0 | 46.7 | 1.943 | 20 |
| 3 1 1 | 59.1 | 1.563 | 13 |
| 2 1 3 | 62.1 | 1.495 | 12 |